Computed powder XRD pattern of SmSc3B4O12 for λ = 1.5418 Å (Cu Kα), from a PBE-relaxed structure.
Lines closer than 0.1° are merged.

Atomic structure:
a b c (Å): 6.227 6.227 11.932
angles (deg): 99.03 99.03 104.08
Element x y z (fractional)
1 Sm 0.032 0.968 0.750
2 Sm 0.968 0.032 0.250
3 Sc 0.202 0.704 0.476
4 Sc 0.296 0.798 0.024
5 Sc 0.428 0.572 0.250
6 Sc 0.572 0.428 0.750
7 Sc 0.704 0.202 0.976
8 Sc 0.798 0.296 0.524
9 B 0.099 0.496 0.774
10 B 0.220 0.268 0.999
11 B 0.268 0.220 0.499
12 B 0.496 0.099 0.274
13 B 0.504 0.901 0.726
14 B 0.732 0.780 0.501
15 B 0.780 0.732 0.001
16 B 0.901 0.504 0.226
17 O 0.008 0.180 0.928
18 O 0.114 0.567 0.296
19 O 0.134 0.366 0.498
20 O 0.162 0.702 0.850
21 O 0.180 0.008 0.428
22 O 0.236 0.354 0.762
23 O 0.287 0.482 0.067
24 O 0.298 0.838 0.650
25 O 0.354 0.236 0.262
26 O 0.366 0.134 0.998
27 O 0.433 0.886 0.204
28 O 0.482 0.287 0.567
29 O 0.518 0.713 0.433
30 O 0.567 0.114 0.796
31 O 0.634 0.866 0.002
32 O 0.646 0.764 0.738
33 O 0.702 0.162 0.350
34 O 0.713 0.518 0.933
35 O 0.764 0.646 0.238
36 O 0.820 0.992 0.572
37 O 0.838 0.298 0.150
38 O 0.866 0.634 0.502
39 O 0.886 0.433 0.704
40 O 0.992 0.820 0.072

Peak list (10 most intense, 10 to 90 degrees two-theta, in order of falling intensity)
2theta  intensity
31.0  100
23.8  41
15.0  34
24.0  23
19.2  19
15.4  18
51.3  18
36.9  18
51.0  15
51.1  13